Record 1
This entry pairs a crystal structure of Nd3Sc2PaAs6 with its calculated X-ray diffraction stick pattern. Radiation: λ = 1.5418 Å (Cu Kα). Structure: a structure optimized by DFT (GGA-PBE).
No peak broadening, texture or thermal motion is included.

```
Nd3Sc2PaAs6
1.0
3.553 -6.155 0.000
3.553 6.155 0.000
-2.370 0.000 6.763
Nd Sc Pa As
3 2 1 6
Cartesian
0.000 0.000 0.000 Nd
3.553 2.043 0.000 Nd
3.553 -2.043 0.000 Nd
2.368 4.102 3.381 Sc
2.368 -4.102 3.381 Sc
2.368 0.000 3.381 Pa
1.171 2.075 1.832 As
-0.028 0.000 4.916 As
1.171 -2.075 1.832 As
3.565 2.075 4.931 As
4.763 0.000 1.847 As
3.565 -2.075 4.931 As
```

Largest 8 diffraction maxima, in order of rising 2θ, 2θ from 15° to 90°:
- 2θ = 30.72°, rel. 100
- 2θ = 43.86°, rel. 36
- 2θ = 44.15°, rel. 37
- 2θ = 54.74°, rel. 19
- 2θ = 63.99°, rel. 12
- 2θ = 72.43°, rel. 10
- 2θ = 72.86°, rel. 16
- 2θ = 81.02°, rel. 12

Record 2
This entry pairs a crystal structure of Ac8Hg4Ir3 with its calculated X-ray diffraction stick pattern. Radiation: λ = 1.5418 Å (Cu Kα). Structure: a structure optimized by DFT (GGA-PBE).
No peak broadening, texture or thermal motion is included.

```
Ac8Hg4Ir3
1.0
4.503 2.600 8.316
-4.503 2.600 8.316
0.000 -5.200 8.316
Ac Hg Ir
8 4 3
Cartesian
-2.461 -1.421 14.146 Ac
0.000 0.000 5.695 Ac
0.000 -2.842 10.803 Ac
-2.461 1.421 10.803 Ac
2.461 -1.421 14.146 Ac
0.000 2.842 14.146 Ac
0.000 0.000 19.254 Ac
2.461 1.421 10.803 Ac
0.000 0.000 0.000 Hg
0.000 0.000 8.979 Hg
0.000 0.000 12.474 Hg
0.000 0.000 15.969 Hg
-4.503 0.000 12.474 Ir
-2.252 1.300 4.158 Ir
2.252 1.300 4.158 Ir
```

Largest 8 diffraction maxima, in order of rising 2θ, 2θ from 15° to 90°:
- 2θ = 19.71°, rel. 19
- 2θ = 23.91°, rel. 18
- 2θ = 26.96°, rel. 100
- 2θ = 34.08°, rel. 56
- 2θ = 36.91°, rel. 53
- 2θ = 40.04°, rel. 70
- 2θ = 48.94°, rel. 18
- 2θ = 70.37°, rel. 19

Record 3
This entry pairs a crystal structure of KLiZnBi2 with its calculated X-ray diffraction stick pattern. Radiation: λ = 1.5418 Å (Cu Kα). Structure: a structure optimized by DFT (GGA-PBE).
No peak broadening, texture or thermal motion is included.

```
KLiZnBi2
1.0
-2.485 2.485 6.017
2.485 -2.485 6.017
2.485 2.485 -6.017
K Li Zn Bi
1 1 1 2
Cartesian
0.000 0.000 0.000 K
2.485 0.000 3.008 Li
0.000 2.485 3.008 Zn
0.000 0.000 4.463 Bi
0.000 0.000 7.571 Bi
```

Largest 8 diffraction maxima, in order of rising 2θ, 2θ from 15° to 90°:
- 2θ = 19.33°, rel. 100
- 2θ = 25.35°, rel. 60
- 2θ = 28.60°, rel. 83
- 2θ = 36.15°, rel. 48
- 2θ = 39.43°, rel. 55
- 2θ = 41.31°, rel. 31
- 2θ = 46.73°, rel. 44
- 2θ = 67.21°, rel. 24